No. 1
Starting from a cell relaxed with PBE, the powder diffraction line list of Ti8Ga6Sn was calculated for Cu Kα X-rays.

The 10 most intense peaks (5 to 70 degrees two-theta), by angle:
2θ (°), I_rel, h k l
27.4, 31, 0 2 1
28.9, 23, 1 1 3
35.4, 43, 0 2 4
37.6, 100, 1 2 2
40.7, 41, 3 0 0
41.8, 67, 1 1 6
42.8, 78, 3 -1 4
48.5, 18, 0 1 8
62.0, 19, 2 3 2
64.2, 17, 4 1 0

Cell and atoms:
```
data_Ti8Ga6Sn
_symmetry_space_group_name_H-M 'R -3'
_symmetry_Int_Tables_number 148
_symmetry_space_group_name_Hall '-R 3'
_cell_length_a 7.6768
_cell_length_b 7.6768
_cell_length_c 15.6660
_cell_angle_alpha 90.00
_cell_angle_beta 90.00
_cell_angle_gamma 120.00
loop_
_atom_site_label
_atom_site_fract_x
_atom_site_fract_y
_atom_site_fract_z
_atom_site_occupancy
Ti1 0.0000 0.0000 0.2452 1
Ti2 0.0046 0.7433 0.3828 1
Ga1 0.0340 0.7657 0.8925 1
Sn1 0.0000 0.0000 0.5000 1
```

=====

No. 2
Starting from a cell relaxed with PBE, the powder diffraction line list of Ti5Ga4Sn was calculated for Cu Kα X-rays.

The 10 most intense peaks (5 to 70 degrees two-theta), by angle:
2θ (°), I_rel, h k l
15.0, 2, 1 1 0
19.8, 2, 1 0 1
29.2, 15, 2 1 1
33.8, 100, 0 0 2
36.4, 2, 3 0 1
42.5, 2, 3 2 1
48.6, 69, 1 3 2
57.6, 3, 2 1 3
57.7, 6, 5 0 1
60.5, 23, 4 2 2

Cell and atoms:
```
data_Ti5Ga4Sn
_symmetry_space_group_name_H-M 'I 4/m'
_symmetry_Int_Tables_number 87
_symmetry_space_group_name_Hall '-I 4'
_cell_length_a 8.376
_cell_length_b 8.376
_cell_length_c 5.312
_cell_angle_alpha 90.00
_cell_angle_beta 90.00
_cell_angle_gamma 90.00
loop_
_atom_site_label
_atom_site_fract_x
_atom_site_fract_y
_atom_site_fract_z
_atom_site_occupancy
Ti1 0.000 0.000 0.000 1
Ti2 0.098 0.314 0.500 1
Ga1 0.107 0.295 0.000 1
Sn1 0.000 0.000 0.500 1
```

=====

No. 3
Starting from a cell relaxed with PBE, the powder diffraction line list of Ti8Ga2Sn3 was calculated for Cu Kα X-rays.

The 10 most intense peaks (5 to 70 degrees two-theta), by angle:
2θ (°), I_rel, h k l
24.2, 46, 0 1 5
32.9, 68, 1 1 0
36.0, 18, 1 0 10
37.8, 41, 1 1 6
38.7, 100, 0 1 11
41.3, 42, 2 0 5
53.5, 14, 1 0 16
58.8, 17, 3 0 0
62.7, 33, 1 2 11
69.1, 23, 2 2 0

Cell and atoms:
```
data_Ti8Ga2Sn3
_symmetry_space_group_name_H-M 'R -3 m'
_symmetry_Int_Tables_number 166
_symmetry_space_group_name_Hall '-R 3 2"'
_cell_length_a 5.4375
_cell_length_b 5.4375
_cell_length_c 29.4275
_cell_angle_alpha 90.00
_cell_angle_beta 90.00
_cell_angle_gamma 120.00
loop_
_atom_site_label
_atom_site_fract_x
_atom_site_fract_y
_atom_site_fract_z
_atom_site_occupancy
Ti1 0.0000 0.0000 0.2190 1
Ti2 0.0026 0.5013 0.7262 1
Ga1 0.0000 0.0000 0.1318 1
Sn1 0.0000 0.0000 0.3103 1
Sn2 0.0000 0.0000 0.5000 1
```

=====

No. 4
Starting from a cell relaxed with PBE, the powder diffraction line list of TlGaSn5 was calculated for Cu Kα X-rays.

The 10 most intense peaks (5 to 70 degrees two-theta), by angle:
2θ (°), I_rel, h k l
19.5, 15, 1 0 0
26.8, 14, 1 0 2
33.3, 100, 1 1 2
36.9, 19, 0 0 4
39.5, 32, 2 0 0
55.2, 24, 2 0 4
57.1, 11, 2 2 0
64.3, 16, 1 1 6
67.7, 27, 3 1 2
70.0, 12, 2 2 4

Cell and atoms:
```
data_TlGaSn5
_symmetry_space_group_name_H-M 'P 4/m m m'
_symmetry_Int_Tables_number 123
_symmetry_space_group_name_Hall '-P 4 2'
_cell_length_a 4.563
_cell_length_b 4.563
_cell_length_c 9.734
_cell_angle_alpha 90.00
_cell_angle_beta 90.00
_cell_angle_gamma 90.00
loop_
_atom_site_label
_atom_site_fract_x
_atom_site_fract_y
_atom_site_fract_z
_atom_site_occupancy
Tl1 0.000 0.000 0.000 1
Ga1 0.500 0.500 0.500 1
Sn1 0.000 0.000 0.500 1
Sn2 0.000 0.500 0.252 1
```

=====

No. 5
Starting from a cell relaxed with PBE, the powder diffraction line list of TlGa3Sn was calculated for Cu Kα X-rays.

The 10 most intense peaks (5 to 70 degrees two-theta), by angle:
2θ (°), I_rel, h k l
23.2, 27, 1 3 0
23.4, 54, 1 1 1
28.1, 78, 1 3 1
31.6, 48, 0 0 2
31.9, 58, 1 5 0
36.5, 74, 0 6 1
38.6, 100, 2 2 1
39.5, 57, 1 3 2
60.9, 27, 2 2 3
66.0, 40, 2 8 2

Cell and atoms:
```
data_TlGa3Sn
_symmetry_space_group_name_H-M 'C m c m'
_symmetry_Int_Tables_number 63
_symmetry_space_group_name_Hall '-C 2c 2'
_cell_length_a 5.396
_cell_length_b 16.404
_cell_length_c 5.667
_cell_angle_alpha 90.00
_cell_angle_beta 90.00
_cell_angle_gamma 90.00
loop_
_atom_site_label
_atom_site_fract_x
_atom_site_fract_y
_atom_site_fract_z
_atom_site_occupancy
Tl1 0.000 0.197 0.250 1
Ga1 0.000 0.000 0.000 1
Ga2 0.248 0.374 0.250 1
Sn1 0.000 0.439 0.750 1
```

=====

Copy entry 3 word for word.
Starting from a cell relaxed with PBE, the powder diffraction line list of Ti8Ga2Sn3 was calculated for Cu Kα X-rays.

The 10 most intense peaks (5 to 70 degrees two-theta), by angle:
2θ (°), I_rel, h k l
24.2, 46, 0 1 5
32.9, 68, 1 1 0
36.0, 18, 1 0 10
37.8, 41, 1 1 6
38.7, 100, 0 1 11
41.3, 42, 2 0 5
53.5, 14, 1 0 16
58.8, 17, 3 0 0
62.7, 33, 1 2 11
69.1, 23, 2 2 0

Cell and atoms:
```
data_Ti8Ga2Sn3
_symmetry_space_group_name_H-M 'R -3 m'
_symmetry_Int_Tables_number 166
_symmetry_space_group_name_Hall '-R 3 2"'
_cell_length_a 5.4375
_cell_length_b 5.4375
_cell_length_c 29.4275
_cell_angle_alpha 90.00
_cell_angle_beta 90.00
_cell_angle_gamma 120.00
loop_
_atom_site_label
_atom_site_fract_x
_atom_site_fract_y
_atom_site_fract_z
_atom_site_occupancy
Ti1 0.0000 0.0000 0.2190 1
Ti2 0.0026 0.5013 0.7262 1
Ga1 0.0000 0.0000 0.1318 1
Sn1 0.0000 0.0000 0.3103 1
Sn2 0.0000 0.0000 0.5000 1
```

=====

Please write out number 2 again, unchanged.
Starting from a cell relaxed with PBE, the powder diffraction line list of Ti5Ga4Sn was calculated for Cu Kα X-rays.

The 10 most intense peaks (5 to 70 degrees two-theta), by angle:
2θ (°), I_rel, h k l
15.0, 2, 1 1 0
19.8, 2, 1 0 1
29.2, 15, 2 1 1
33.8, 100, 0 0 2
36.4, 2, 3 0 1
42.5, 2, 3 2 1
48.6, 69, 1 3 2
57.6, 3, 2 1 3
57.7, 6, 5 0 1
60.5, 23, 4 2 2

Cell and atoms:
```
data_Ti5Ga4Sn
_symmetry_space_group_name_H-M 'I 4/m'
_symmetry_Int_Tables_number 87
_symmetry_space_group_name_Hall '-I 4'
_cell_length_a 8.376
_cell_length_b 8.376
_cell_length_c 5.312
_cell_angle_alpha 90.00
_cell_angle_beta 90.00
_cell_angle_gamma 90.00
loop_
_atom_site_label
_atom_site_fract_x
_atom_site_fract_y
_atom_site_fract_z
_atom_site_occupancy
Ti1 0.000 0.000 0.000 1
Ti2 0.098 0.314 0.500 1
Ga1 0.107 0.295 0.000 1
Sn1 0.000 0.000 0.500 1
```